No. 1
CaEr5In6: simulated powder diffractogram (Cu Kα), based on a crystal structure in Alexandria, relaxed with GGA-PBE.
Kinematic intensities with the Lorentz-polarization factor, no thermal factor.

```
data_CaEr5In6
_space_group_name_H-M_alt 'I m m m'
_space_group_IT_number 71
_space_group_name_Hall '-I 2 2'
_cell_length_a 5.3235
_cell_length_b 7.4207
_cell_length_c 15.9784
_cell_angle_alpha 90.00
_cell_angle_beta 90.00
_cell_angle_gamma 90.00
loop_
_atom_site_label
_atom_site_fract_x
_atom_site_fract_y
_atom_site_fract_z
Ca1 0.0000 0.0000 0.0000
Er1 0.0000 0.0000 0.3321
Er2 0.0000 0.5000 0.0000
Er3 0.0000 0.5000 0.3365
In1 0.0000 0.2438 0.5000
In2 0.0000 0.2531 0.1680
```

Principal peaks in the range 10 to 80 degrees two-theta, by intensity:
d 2.643, I 1000; d 2.662, I 511; d 1.533, I 370; d 1.883, I 182; d 1.522, I 180; d 1.321, I 112

=====

No. 2
Ca2ErIn: simulated powder diffractogram (Cu Kα), based on a crystal structure in Alexandria, relaxed with GGA-PBE.
Kinematic intensities with the Lorentz-polarization factor, no thermal factor.

```
data_Ca2ErIn
_space_group_name_H-M_alt 'P 4/m m m'
_space_group_IT_number 123
_space_group_name_Hall '-P 4 2'
_cell_length_a 4.1651
_cell_length_b 4.1651
_cell_length_c 7.3049
_cell_angle_alpha 90.00
_cell_angle_beta 90.00
_cell_angle_gamma 90.00
loop_
_atom_site_label
_atom_site_fract_x
_atom_site_fract_y
_atom_site_fract_z
Ca1 0.0000 0.0000 0.2345
Er1 0.5000 0.5000 0.5000
In1 0.5000 0.5000 0.0000
```

Principal peaks in the range 10 to 80 degrees two-theta, by intensity:
d 2.746, I 1000; d 2.945, I 611; d 1.659, I 426; d 4.165, I 408; d 2.083, I 224; d 2.293, I 180